CeTl9Te6: computed X-ray powder pattern (Cu Kα X-rays), based on DFT lattice parameters and positions (PBE).

Structural model:
```
data_CeTl9Te6
_chemical_formula_sum 'Ce1 Tl9 Te6'
_symmetry_space_group_name_H-M 'P 1'
_symmetry_Int_Tables_number 1
_symmetry_space_group_name_Hall 'P 1'
_cell_length_a 9.3721
_cell_length_b 9.3721
_cell_length_c 9.3721
_cell_angle_alpha 122.08
_cell_angle_beta 122.08
_cell_angle_gamma 86.43
loop_
_atom_site_label
_atom_site_type_symbol
_atom_site_fract_x
_atom_site_fract_y
_atom_site_fract_z
_atom_site_occupancy
Ce1 Ce 0.0000 0.0000 0.0000 1
Tl1 Tl 0.0003 0.4817 0.7963 1
Tl2 Tl 0.9997 0.5183 0.2037 1
Tl3 Tl 0.2040 0.0003 0.5186 1
Tl4 Tl 0.3146 0.7960 0.7963 1
Tl5 Tl 0.4817 0.6854 0.4814 1
Tl6 Tl 0.5000 0.5000 0.0000 1
Tl7 Tl 0.5183 0.3146 0.5186 1
Tl8 Tl 0.6854 0.2040 0.2037 1
Tl9 Tl 0.7960 0.9997 0.4814 1
Te1 Te 0.1515 0.3250 0.4765 1
Te2 Te 0.2374 0.2374 0.0000 1
Te3 Te 0.3250 0.8485 0.1735 1
Te4 Te 0.6750 0.1515 0.8265 1
Te5 Te 0.7626 0.7626 0.0000 1
Te6 Te 0.8485 0.6750 0.5235 1
```

Main lines, low angle first (10 to 80 degrees two-theta):
| 2theta | d/Å | Rel. int. |
| --- | --- | --- |
| 29.48 | 3.030 | 100 |
| 29.63 | 3.015 | 13 |
| 31.16 | 2.870 | 52 |
| 39.58 | 2.277 | 10 |
| 44.65 | 2.029 | 9 |
| 45.79 | 1.982 | 12 |
| 48.15 | 1.890 | 7 |
| 51.22 | 1.784 | 13 |
| 58.39 | 1.580 | 20 |
| 65.67 | 1.422 | 8 |

NdBPt3: computed X-ray powder pattern (Cu Kα X-rays), based on DFT lattice parameters and positions (PBE).

Structural model:
```
data_NdBPt3
_chemical_formula_sum 'Nd1 B1 Pt3'
_symmetry_space_group_name_H-M 'P 1'
_symmetry_Int_Tables_number 1
_symmetry_space_group_name_Hall 'P 1'
_cell_length_a 4.0502
_cell_length_b 4.0502
_cell_length_c 5.1001
_cell_angle_alpha 90.00
_cell_angle_beta 90.00
_cell_angle_gamma 90.00
loop_
_atom_site_label
_atom_site_type_symbol
_atom_site_fract_x
_atom_site_fract_y
_atom_site_fract_z
_atom_site_occupancy
Nd1 Nd 0.0000 0.0000 0.0000 1
B1 B 0.5000 0.5000 0.7013 1
Pt1 Pt 0.0000 0.5000 0.5163 1
Pt2 Pt 0.5000 0.0000 0.5163 1
Pt3 Pt 0.5000 0.5000 0.1134 1
```

Main lines, low angle first (10 to 80 degrees two-theta):
| 2theta | d/Å | Rel. int. |
| --- | --- | --- |
| 35.19 | 2.550 | 21 |
| 35.96 | 2.497 | 100 |
| 41.86 | 2.158 | 7 |
| 44.75 | 2.025 | 31 |
| 47.76 | 1.905 | 6 |
| 58.17 | 1.586 | 20 |
| 63.65 | 1.462 | 10 |
| 65.15 | 1.432 | 10 |
| 76.26 | 1.249 | 9 |
| 76.72 | 1.242 | 23 |

Cs3Zr2I9: computed X-ray powder pattern (Cu Kα X-rays), based on DFT lattice parameters and positions (PBE).

Structural model:
```
data_Cs3Zr2I9
_chemical_formula_sum 'Cs6 Zr4 I18'
_symmetry_space_group_name_H-M 'P 1'
_symmetry_Int_Tables_number 1
_symmetry_space_group_name_Hall 'P 1'
_cell_length_a 8.6028
_cell_length_b 8.6028
_cell_length_c 20.5433
_cell_angle_alpha 90.00
_cell_angle_beta 90.00
_cell_angle_gamma 120.00
loop_
_atom_site_label
_atom_site_type_symbol
_atom_site_fract_x
_atom_site_fract_y
_atom_site_fract_z
_atom_site_occupancy
Cs1 Cs 0.0000 0.0000 0.2500 1
Cs2 Cs 0.0000 0.0000 0.7500 1
Cs3 Cs 0.3333 0.6667 0.0674 1
Cs4 Cs 0.3333 0.6667 0.4326 1
Cs5 Cs 0.6667 0.3333 0.5674 1
Cs6 Cs 0.6667 0.3333 0.9326 1
Zr1 Zr 0.3333 0.6667 0.6719 1
Zr2 Zr 0.3333 0.6667 0.8281 1
Zr3 Zr 0.6667 0.3333 0.1719 1
Zr4 Zr 0.6667 0.3333 0.3281 1
I1 I 0.0003 0.5001 0.2500 1
I2 I 0.9997 0.4999 0.7500 1
I3 I 0.1725 0.3449 0.5915 1
I4 I 0.1725 0.3449 0.9085 1
I5 I 0.1725 0.8275 0.5915 1
I6 I 0.1725 0.8275 0.9085 1
I7 I 0.3449 0.1725 0.0915 1
I8 I 0.3449 0.1725 0.4085 1
I9 I 0.4999 0.9997 0.2500 1
I10 I 0.5001 0.0003 0.7500 1
I11 I 0.4999 0.5001 0.2500 1
I12 I 0.5001 0.4999 0.7500 1
I13 I 0.6551 0.8275 0.5915 1
I14 I 0.6551 0.8275 0.9085 1
I15 I 0.8275 0.1725 0.0915 1
I16 I 0.8275 0.1725 0.4085 1
I17 I 0.8275 0.6551 0.0915 1
I18 I 0.8275 0.6551 0.4085 1
```

Main lines, low angle first (10 to 80 degrees two-theta):
| 2theta | d/Å | Rel. int. |
| --- | --- | --- |
| 12.64 | 7.004 | 26 |
| 25.43 | 3.502 | 75 |
| 26.02 | 3.424 | 39 |
| 27.25 | 3.272 | 100 |
| 29.63 | 3.015 | 69 |
| 32.44 | 2.760 | 20 |
| 42.01 | 2.151 | 58 |
| 42.77 | 2.114 | 21 |
| 50.09 | 1.821 | 37 |
| 50.78 | 1.798 | 30 |

Pm3Al: computed X-ray powder pattern (Cu Kα X-rays), based on DFT lattice parameters and positions (PBE).

Structural model:
```
data_Pm3Al
_chemical_formula_sum 'Pm3 Al1'
_symmetry_space_group_name_H-M 'P 1'
_symmetry_Int_Tables_number 1
_symmetry_space_group_name_Hall 'P 1'
_cell_length_a 4.8725
_cell_length_b 4.8725
_cell_length_c 4.8725
_cell_angle_alpha 90.00
_cell_angle_beta 90.00
_cell_angle_gamma 90.00
loop_
_atom_site_label
_atom_site_type_symbol
_atom_site_fract_x
_atom_site_fract_y
_atom_site_fract_z
_atom_site_occupancy
Pm1 Pm 0.0000 0.0000 0.5000 1
Pm2 Pm 0.0000 0.5000 0.0000 1
Pm3 Pm 0.5000 0.0000 0.0000 1
Al1 Al 0.5000 0.5000 0.5000 1
```

Main lines, low angle first (10 to 80 degrees two-theta):
| 2theta | d/Å | Rel. int. |
| --- | --- | --- |
| 18.21 | 4.873 | 19 |
| 25.86 | 3.445 | 17 |
| 31.81 | 2.813 | 100 |
| 36.90 | 2.436 | 50 |
| 41.44 | 2.179 | 10 |
| 45.60 | 1.989 | 7 |
| 53.17 | 1.723 | 35 |
| 63.30 | 1.469 | 41 |
| 66.47 | 1.407 | 12 |
| 78.52 | 1.218 | 6 |

CsMg14Nb: computed X-ray powder pattern (Cu Kα X-rays), based on DFT lattice parameters and positions (PBE).

Structural model:
```
data_CsMg14Nb
_chemical_formula_sum 'Cs1 Mg14 Nb1'
_symmetry_space_group_name_H-M 'P 1'
_symmetry_Int_Tables_number 1
_symmetry_space_group_name_Hall 'P 1'
_cell_length_a 6.5838
_cell_length_b 6.5838
_cell_length_c 10.3867
_cell_angle_alpha 90.00
_cell_angle_beta 90.00
_cell_angle_gamma 120.00
loop_
_atom_site_label
_atom_site_type_symbol
_atom_site_fract_x
_atom_site_fract_y
_atom_site_fract_z
_atom_site_occupancy
Cs1 Cs 0.0000 0.0000 0.0000 1
Mg1 Mg 0.0096 0.5048 0.0000 1
Mg2 Mg 0.1683 0.3367 0.2728 1
Mg3 Mg 0.1683 0.3367 0.7272 1
Mg4 Mg 0.1683 0.8317 0.2728 1
Mg5 Mg 0.1683 0.8317 0.7272 1
Mg6 Mg 0.4952 0.5048 0.0000 1
Mg7 Mg 0.4952 0.9904 0.0000 1
Mg8 Mg 0.5032 0.0065 0.5000 1
Mg9 Mg 0.5032 0.4968 0.5000 1
Mg10 Mg 0.6633 0.8317 0.2728 1
Mg11 Mg 0.6633 0.8317 0.7272 1
Mg12 Mg 0.6667 0.3333 0.2431 1
Mg13 Mg 0.6667 0.3333 0.7569 1
Mg14 Mg 0.9935 0.4968 0.5000 1
Nb1 Nb 0.0000 0.0000 0.5000 1
```

Main lines, low angle first (10 to 80 degrees two-theta):
| 2theta | d/Å | Rel. int. |
| --- | --- | --- |
| 15.54 | 5.702 | 45 |
| 23.17 | 3.839 | 38 |
| 31.38 | 2.851 | 30 |
| 32.19 | 2.780 | 15 |
| 34.54 | 2.597 | 23 |
| 35.94 | 2.499 | 100 |
| 47.35 | 1.920 | 19 |
| 55.86 | 1.646 | 18 |
| 62.80 | 1.480 | 16 |
| 67.36 | 1.390 | 18 |

CsMg14Zr: computed X-ray powder pattern (Cu Kα X-rays), based on DFT lattice parameters and positions (PBE).

Structural model:
```
data_CsMg14Zr
_chemical_formula_sum 'Cs1 Mg14 Zr1'
_symmetry_space_group_name_H-M 'P 1'
_symmetry_Int_Tables_number 1
_symmetry_space_group_name_Hall 'P 1'
_cell_length_a 10.5580
_cell_length_b 6.5745
_cell_length_c 6.5745
_cell_angle_alpha 61.01
_cell_angle_beta 90.00
_cell_angle_gamma 90.00
loop_
_atom_site_label
_atom_site_type_symbol
_atom_site_fract_x
_atom_site_fract_y
_atom_site_fract_z
_atom_site_occupancy
Cs1 Cs 0.0000 0.0000 0.0000 1
Mg1 Mg 0.0000 0.4999 0.9974 1
Mg2 Mg 0.0000 0.9974 0.4999 1
Mg3 Mg 0.2457 0.6626 0.6626 1
Mg4 Mg 0.2622 0.1781 0.6491 1
Mg5 Mg 0.2622 0.6491 0.1781 1
Mg6 Mg 0.2671 0.1735 0.1735 1
Mg7 Mg 0.5000 0.4991 0.4991 1
Mg8 Mg 0.5000 0.5011 0.9940 1
Mg9 Mg 0.5000 0.9940 0.5011 1
Mg10 Mg 0.5000 0.9972 0.9972 1
Mg11 Mg 0.7329 0.1735 0.1735 1
Mg12 Mg 0.7378 0.1781 0.6491 1
Mg13 Mg 0.7378 0.6491 0.1781 1
Mg14 Mg 0.7543 0.6626 0.6626 1
Zr1 Zr 0.0000 0.4882 0.4882 1
```

Main lines, low angle first (10 to 80 degrees two-theta):
| 2theta | d/Å | Rel. int. |
| --- | --- | --- |
| 15.64 | 5.665 | 20 |
| 16.79 | 5.279 | 18 |
| 17.77 | 4.991 | 31 |
| 23.03 | 3.862 | 18 |
| 31.10 | 2.875 | 28 |
| 33.96 | 2.640 | 36 |
| 35.55 | 2.525 | 100 |
| 35.99 | 2.496 | 46 |
| 61.81 | 1.501 | 18 |
| 67.09 | 1.395 | 18 |

AlRe2: computed X-ray powder pattern (Cu Kα X-rays), based on DFT lattice parameters and positions (PBE).

Structural model:
```
data_AlRe2
_chemical_formula_sum 'Al1 Re2'
_symmetry_space_group_name_H-M 'P 1'
_symmetry_Int_Tables_number 1
_symmetry_space_group_name_Hall 'P 1'
_cell_length_a 5.2769
_cell_length_b 5.2769
_cell_length_c 5.2769
_cell_angle_alpha 146.92
_cell_angle_beta 146.92
_cell_angle_gamma 47.49
loop_
_atom_site_label
_atom_site_type_symbol
_atom_site_fract_x
_atom_site_fract_y
_atom_site_fract_z
_atom_site_occupancy
Al1 Al 0.0000 0.0000 0.0000 1
Re1 Re 0.3311 0.3311 0.0000 1
Re2 Re 0.6689 0.6689 0.0000 1
```

Main lines, low angle first (10 to 80 degrees two-theta):
| 2theta | d/Å | Rel. int. |
| --- | --- | --- |
| 18.37 | 4.830 | 33 |
| 31.17 | 2.869 | 31 |
| 41.09 | 2.197 | 100 |
| 42.55 | 2.125 | 45 |
| 46.70 | 1.945 | 12 |
| 56.64 | 1.625 | 8 |
| 57.21 | 1.610 | 10 |
| 61.74 | 1.502 | 15 |
| 73.85 | 1.283 | 18 |
| 76.87 | 1.240 | 32 |

BaErCuS3: computed X-ray powder pattern (Cu Kα X-rays), based on DFT lattice parameters and positions (PBE).

Structural model:
```
data_BaErCuS3
_chemical_formula_sum 'Ba2 Er2 Cu2 S6'
_symmetry_space_group_name_H-M 'P 1'
_symmetry_Int_Tables_number 1
_symmetry_space_group_name_Hall 'P 1'
_cell_length_a 7.0828
_cell_length_b 7.0828
_cell_length_c 10.1797
_cell_angle_alpha 90.00
_cell_angle_beta 90.00
_cell_angle_gamma 147.16
loop_
_atom_site_label
_atom_site_type_symbol
_atom_site_fract_x
_atom_site_fract_y
_atom_site_fract_z
_atom_site_occupancy
Ba1 Ba 0.2446 0.7554 0.7500 1
Ba2 Ba 0.7554 0.2446 0.2500 1
Er1 Er 0.5000 0.5000 0.0000 1
Er2 Er 0.5000 0.5000 0.5000 1
Cu1 Cu 0.0316 0.9684 0.2500 1
Cu2 Cu 0.9684 0.0316 0.7500 1
S1 S 0.1302 0.8698 0.0620 1
S2 S 0.1302 0.8698 0.4380 1
S3 S 0.4342 0.5658 0.2500 1
S4 S 0.5658 0.4342 0.7500 1
S5 S 0.8698 0.1302 0.5620 1
S6 S 0.8698 0.1302 0.9380 1
```

Main lines, low angle first (10 to 80 degrees two-theta):
| 2theta | d/Å | Rel. int. |
| --- | --- | --- |
| 13.03 | 6.794 | 53 |
| 21.82 | 4.073 | 100 |
| 26.23 | 3.397 | 57 |
| 29.13 | 3.066 | 70 |
| 29.78 | 3.000 | 37 |
| 31.08 | 2.878 | 94 |
| 34.71 | 2.585 | 81 |
| 35.28 | 2.544 | 88 |
| 44.02 | 2.057 | 54 |
| 44.48 | 2.037 | 43 |

BaMn2Bi2: computed X-ray powder pattern (Cu Kα X-rays), based on DFT lattice parameters and positions (PBE).

Structural model:
```
data_BaMn2Bi2
_chemical_formula_sum 'Ba1 Mn2 Bi2'
_symmetry_space_group_name_H-M 'P 1'
_symmetry_Int_Tables_number 1
_symmetry_space_group_name_Hall 'P 1'
_cell_length_a 7.9309
_cell_length_b 7.9309
_cell_length_c 4.4797
_cell_angle_alpha 105.11
_cell_angle_beta 105.11
_cell_angle_gamma 33.47
loop_
_atom_site_label
_atom_site_type_symbol
_atom_site_fract_x
_atom_site_fract_y
_atom_site_fract_z
_atom_site_occupancy
Ba1 Ba 0.0000 0.0000 0.0000 1
Mn1 Mn 0.2482 0.2482 0.7819 1
Mn2 Mn 0.7518 0.7518 0.2181 1
Bi1 Bi 0.3676 0.3676 0.3762 1
Bi2 Bi 0.6324 0.6324 0.6238 1
```

Main lines, low angle first (10 to 80 degrees two-theta):
| 2theta | d/Å | Rel. int. |
| --- | --- | --- |
| 26.74 | 3.334 | 100 |
| 27.37 | 3.259 | 40 |
| 27.90 | 3.198 | 56 |
| 36.49 | 2.462 | 19 |
| 37.06 | 2.426 | 28 |
| 37.69 | 2.387 | 20 |
| 39.46 | 2.284 | 26 |
| 40.28 | 2.239 | 24 |
| 48.69 | 1.870 | 17 |
| 57.66 | 1.599 | 24 |

MgZn5: computed X-ray powder pattern (Cu Kα X-rays), based on DFT lattice parameters and positions (PBE).

Structural model:
```
data_MgZn5
_chemical_formula_sum 'Mg1 Zn5'
_symmetry_space_group_name_H-M 'P 1'
_symmetry_Int_Tables_number 1
_symmetry_space_group_name_Hall 'P 1'
_cell_length_a 2.7973
_cell_length_b 2.7973
_cell_length_c 14.3727
_cell_angle_alpha 90.00
_cell_angle_beta 90.00
_cell_angle_gamma 120.00
loop_
_atom_site_label
_atom_site_type_symbol
_atom_site_fract_x
_atom_site_fract_y
_atom_site_fract_z
_atom_site_occupancy
Mg1 Mg 0.0000 0.0000 0.0000 1
Zn1 Zn 0.0000 0.0000 0.3364 1
Zn2 Zn 0.0000 0.0000 0.6636 1
Zn3 Zn 0.3333 0.6667 0.1750 1
Zn4 Zn 0.3333 0.6667 0.5000 1
Zn5 Zn 0.3333 0.6667 0.8250 1
```

Main lines, low angle first (10 to 80 degrees two-theta):
| 2theta | d/Å | Rel. int. |
| --- | --- | --- |
| 12.32 | 7.186 | 8 |
| 37.11 | 2.423 | 25 |
| 37.55 | 2.395 | 29 |
| 37.66 | 2.389 | 3 |
| 41.78 | 2.162 | 100 |
| 45.14 | 2.009 | 4 |
| 53.82 | 1.703 | 15 |
| 66.90 | 1.399 | 15 |
| 70.65 | 1.333 | 18 |
| 79.33 | 1.208 | 18 |